For Sr2RuN3, the GGA-PBE geometry in the Materials Project gives the calculated powder diffraction line list in this record (Cu Kα X-rays).
Intensities are scaled so that the largest is 1000.

Largest 10 diffraction maxima, low angle first, 5° ≤ 2θ ≤ 70°:
d 5.631, 2θ = 15.7°, I = 224, (0 2 0); d 3.128, 2θ = 28.5°, I = 320, (0 0 4); d 3.047, 2θ = 29.3°, I = 278, (1 3 -1); d 2.988, 2θ = 29.9°, I = 214, (1 3 1); d 2.831, 2θ = 31.6°, I = 652, (1 3 -2); d 2.772, 2θ = 32.3°, I = 855, (2 0 0); d 2.736, 2θ = 32.7°, I = 1000, (1 3 2); d 2.570, 2θ = 34.9°, I = 591, (1 1 4); d 2.287, 2θ = 39.4°, I = 257, (0 2 5); d 1.856, 2θ = 49.1°, I = 204, (2 4 2)

Structure:
```
data_Sr2RuN3
_cell_length_a 5.558
_cell_length_b 11.263
_cell_length_c 12.546
_cell_angle_alpha 90.00
_cell_angle_beta 94.26
_cell_angle_gamma 90.00
_symmetry_space_group_name_H-M 'C 1 2/c 1'
_symmetry_Int_Tables_number 15
_symmetry_space_group_name_Hall '-C 2yc'
loop_
_atom_site_label
_atom_site_fract_x
_atom_site_fract_y
_atom_site_fract_z
Sr1 0.221 0.202 0.357
Sr2 0.237 0.107 0.926
Ru1 0.227 0.497 0.831
N1 0.000 0.001 0.250
N2 0.000 0.393 0.250
N3 0.198 0.336 0.868
N4 0.249 0.094 0.544
```